Entry 1:
For PmErAsP, a cell relaxed with GGA-PBE gives the simulated powder X-ray diffraction pattern in this record (λ = 1.5418 Å (Cu Kα)).
Neutral-atom scattering factors, no anomalous dispersion.

Most intense lines, 10 to 80 degrees two-theta, sorted by position:
d (Å), 2theta, I (rel.)
3.356, 26.56, 60
2.910, 30.72, 90
2.900, 30.84, 45
2.055, 44.06, 100
1.754, 52.14, 20
1.678, 54.70, 35
1.301, 72.68, 30
1.298, 72.89, 15

Crystal structure
Lattice parameters (Å, degrees): 4.1153 4.1153 5.7996 90.00 90.00 90.00
Fractional coordinates of all 4 atoms:
Pm1 0.0000 0.0000 0.0000
Er1 0.5000 0.5000 0.5000
As1 0.5000 0.5000 0.0000
P1 0.0000 0.0000 0.5000


Entry 2:
For LaCu2Bi2, a cell relaxed with GGA-PBE gives the simulated powder X-ray diffraction pattern in this record (λ = 1.5418 Å (Cu Kα)).
Neutral-atom scattering factors, no anomalous dispersion.

Most intense lines, 10 to 80 degrees two-theta, sorted by position:
d (Å), 2theta, I (rel.)
5.368, 16.51, 18
2.860, 31.28, 100
2.389, 37.66, 39
2.101, 43.04, 19
1.784, 51.19, 13
1.689, 54.31, 14
1.581, 58.36, 11
1.454, 64.03, 25

Crystal structure
Lattice parameters (Å, degrees): 6.3425 6.3425 6.3425 135.75 135.75 64.36
Fractional coordinates of all 5 atoms:
La1 0.0000 0.0000 0.0000
Cu1 0.3900 0.3900 0.0000
Cu2 0.6100 0.6100 0.0000
Bi1 0.2500 0.7500 0.5000
Bi2 0.7500 0.2500 0.5000


Entry 3:
For Y2WBr, a cell relaxed with GGA-PBE gives the simulated powder X-ray diffraction pattern in this record (λ = 1.5418 Å (Cu Kα)).
Neutral-atom scattering factors, no anomalous dispersion.

Most intense lines, 10 to 80 degrees two-theta, sorted by position:
d (Å), 2theta, I (rel.)
8.247, 10.73, 40
2.656, 33.74, 100
2.455, 36.60, 44
2.155, 41.91, 14
2.062, 43.91, 9
1.736, 52.72, 15
1.579, 58.45, 15
1.453, 64.07, 31

Crystal structure
Lattice parameters (Å, degrees): 3.4724 3.4724 8.2474 90.00 90.00 90.00
Fractional coordinates of all 4 atoms:
Y1 0.0000 0.0000 0.2122
Y2 0.0000 0.0000 0.7878
W1 0.5000 0.5000 0.0000
Br1 0.5000 0.5000 0.5000


Entry 4:
For Ho2CdS4, a cell relaxed with GGA-PBE gives the simulated powder X-ray diffraction pattern in this record (λ = 1.5418 Å (Cu Kα)).
Neutral-atom scattering factors, no anomalous dispersion.

Most intense lines, 10 to 80 degrees two-theta, sorted by position:
d (Å), 2theta, I (rel.)
6.500, 13.62, 22
3.981, 22.33, 18
3.395, 26.25, 100
3.250, 27.44, 18
2.815, 31.79, 31
2.167, 41.68, 43
1.990, 45.58, 61
1.466, 63.47, 24

Crystal structure
Lattice parameters (Å, degrees): 7.9611 7.9611 7.9611 60.00 60.00 60.00
Fractional coordinates of all 14 atoms:
Ho1 0.0000 0.0000 0.0000
Ho2 0.0000 0.0000 0.5000
Ho3 0.0000 0.5000 0.0000
Ho4 0.5000 0.0000 0.0000
Cd1 0.3750 0.3750 0.3750
Cd2 0.6250 0.6250 0.6250
S1 0.2270 0.7577 0.7577
S2 0.2423 0.2423 0.2423
S3 0.2423 0.2423 0.7730
S4 0.2423 0.7730 0.2423
S5 0.7577 0.2270 0.7577
S6 0.7577 0.7577 0.2270
S7 0.7577 0.7577 0.7577
S8 0.7730 0.2423 0.2423


Entry 5:
For K2SnHg6, a cell relaxed with GGA-PBE gives the simulated powder X-ray diffraction pattern in this record (λ = 1.5418 Å (Cu Kα)).
Neutral-atom scattering factors, no anomalous dispersion.

Most intense lines, 10 to 80 degrees two-theta, sorted by position:
d (Å), 2theta, I (rel.)
6.372, 13.90, 24
4.404, 20.16, 30
3.045, 29.33, 17
2.825, 31.67, 18
2.748, 32.58, 100
2.205, 40.93, 30
2.194, 41.14, 14
1.757, 52.06, 15

Crystal structure
Lattice parameters (Å, degrees): 7.0270 7.0270 6.3723 90.24 90.24 60.16
Fractional coordinates of all 9 atoms:
K1 0.1677 0.1677 0.3366
K2 0.8323 0.8323 0.6634
Sn1 0.5000 0.5000 0.5000
Hg1 0.1335 0.6841 0.1671
Hg2 0.3159 0.8665 0.8329
Hg3 0.3180 0.3180 0.8346
Hg4 0.6820 0.6820 0.1654
Hg5 0.6841 0.1335 0.1671
Hg6 0.8665 0.3159 0.8329


Entry 6:
For RbAuBr2, a cell relaxed with GGA-PBE gives the simulated powder X-ray diffraction pattern in this record (λ = 1.5418 Å (Cu Kα)).
Neutral-atom scattering factors, no anomalous dispersion.

Most intense lines, 10 to 80 degrees two-theta, sorted by position:
d (Å), 2theta, I (rel.)
5.449, 16.27, 55
3.955, 22.48, 49
3.759, 23.67, 100
3.621, 24.59, 43
3.201, 27.87, 27
2.725, 32.87, 53
1.959, 46.34, 25
1.859, 49.00, 25

Crystal structure
Lattice parameters (Å, degrees): 7.9106 7.9106 8.9916 90.00 90.00 120.00
Fractional coordinates of all 12 atoms:
Rb1 0.0000 0.6375 0.1667
Rb2 0.3625 0.3625 0.5000
Rb3 0.6375 0.0000 0.8333
Au1 0.0000 0.7500 0.6667
Au2 0.2500 0.2500 0.0000
Au3 0.7500 0.0000 0.3333
Br1 0.1007 0.4109 0.8701
Br2 0.3103 0.8993 0.5368
Br3 0.4109 0.1007 0.1299
Br4 0.5891 0.6897 0.2034
Br5 0.6897 0.5891 0.7966
Br6 0.8993 0.3103 0.4632


Entry 7:
For CrCo3N3, a cell relaxed with GGA-PBE gives the simulated powder X-ray diffraction pattern in this record (λ = 1.5418 Å (Cu Kα)).
Neutral-atom scattering factors, no anomalous dispersion.

Most intense lines, 10 to 80 degrees two-theta, sorted by position:
d (Å), 2theta, I (rel.)
2.757, 32.48, 61
2.248, 40.12, 100
2.084, 43.42, 6
1.941, 46.81, 27
1.592, 57.94, 36
1.587, 58.13, 19
1.299, 72.81, 14
1.231, 77.57, 27

Crystal structure
Lattice parameters (Å, degrees): 6.3666 6.3666 3.8816 90.00 90.00 120.00
Fractional coordinates of all 14 atoms:
Cr1 0.3333 0.6667 0.2500
Cr2 0.6667 0.3333 0.7500
Co1 0.1796 0.3592 0.7500
Co2 0.1796 0.8204 0.7500
Co3 0.3592 0.1796 0.2500
Co4 0.6408 0.8204 0.7500
Co5 0.8204 0.1796 0.2500
Co6 0.8204 0.6408 0.2500
N1 0.1695 0.3391 0.2500
N2 0.1695 0.8305 0.2500
N3 0.3391 0.1695 0.7500
N4 0.6609 0.8305 0.2500
N5 0.8305 0.1695 0.7500
N6 0.8305 0.6609 0.7500